Structure and theoretical XRD peak list of Sr3Nb5O15 (the GGA-PBE geometry in the Materials Project; Cu Ka).

Structure:
Cell lengths 12.6844, 12.6844, 4.0006 Å; angles 90.00, 90.00, 90.00 degrees
Sites, in units of the cell vectors:
Sr1 0.0000 0.0000 0.0000
Sr2 0.1621 0.3379 0.0136
Sr3 0.3379 0.8379 0.0136
Sr4 0.5000 0.5000 0.0000
Sr5 0.6621 0.1621 0.0136
Sr6 0.8379 0.6621 0.0136
Nb1 0.0000 0.5000 0.5056
Nb2 0.0789 0.7893 0.5028
Nb3 0.2107 0.0789 0.5028
Nb4 0.2893 0.5789 0.5028
Nb5 0.4211 0.2893 0.5028
Nb6 0.5000 0.0000 0.5056
Nb7 0.5789 0.7107 0.5028
Nb8 0.7107 0.4211 0.5028
Nb9 0.7893 0.9211 0.5028
Nb10 0.9211 0.2107 0.5028
O1 0.0000 0.5000 0.0032
O2 0.0110 0.3411 0.5017
O3 0.0642 0.1354 0.5014
O4 0.0791 0.7937 0.0022
O5 0.1354 0.9358 0.5014
O6 0.1589 0.4890 0.5017
O7 0.2063 0.0791 0.0022
O8 0.2269 0.7269 0.5028
O9 0.2731 0.2269 0.5028
O10 0.2937 0.5791 0.0022
O11 0.3411 0.9890 0.5017
O12 0.3646 0.4358 0.5014
O13 0.4209 0.2937 0.0022
O14 0.4358 0.6354 0.5014
O15 0.4890 0.8411 0.5017
O16 0.5000 0.0000 0.0032
O17 0.5110 0.1589 0.5017
O18 0.5642 0.3646 0.5014
O19 0.5791 0.7063 0.0022
O20 0.6354 0.5642 0.5014
O21 0.6589 0.0110 0.5017
O22 0.7063 0.4209 0.0022
O23 0.7269 0.7731 0.5028
O24 0.7731 0.2731 0.5028
O25 0.7937 0.9209 0.0022
O26 0.8411 0.5110 0.5017
O27 0.8646 0.0642 0.5014
O28 0.9209 0.2063 0.0022
O29 0.9358 0.8646 0.5014
O30 0.9890 0.6589 0.5017

Most intense lines, 2θ = 10–80°, by angle:
two_theta  Rel. int.  h k l
22.21  21  0 0 1
25.32  36  3 2 0
27.28  44  2 1 1
29.02  47  4 1 0
29.92  20  2 2 1
31.57  100  3 1 1
45.34  25  0 0 2
50.92  24  5 5 0
54.74  16  4 1 2
56.23  31  5 5 1